# 1
This entry pairs a crystal structure of CdGa3Cl12 with its calculated PXRD pattern. Radiation: copper Kα. Structure: a structure optimized by DFT (PBE).
Peak positions follow from Bragg's law for the DFT cell and can differ from measured ones.

Atomic structure:
Lattice parameters (Å, degrees): 12.0142 12.0142 12.0142 57.96 57.96 57.96
Positions (direct):
Cd  0.0000  0.0000  0.0000
Cd  0.5000  0.5000  0.5000
Ga  0.1622  0.3342  0.6690
Ga  0.1690  0.8342  0.6622
Ga  0.3342  0.6690  0.1622
Ga  0.6622  0.1690  0.8342
Ga  0.6690  0.1622  0.3342
Ga  0.8342  0.6622  0.1690
Cl  0.0214  0.5398  0.5834
Cl  0.0398  0.5214  0.0834
Cl  0.0497  0.2411  0.8974
Cl  0.0566  0.6958  0.7488
Cl  0.0834  0.0398  0.5214
Cl  0.1805  0.8453  0.8370
Cl  0.1958  0.5566  0.2488
Cl  0.2411  0.8974  0.0497
Cl  0.2488  0.1958  0.5566
Cl  0.3370  0.3453  0.6805
Cl  0.3453  0.6805  0.3370
Cl  0.3974  0.7411  0.5497
Cl  0.5214  0.0834  0.0398
Cl  0.5398  0.5834  0.0214
Cl  0.5497  0.3974  0.7411
Cl  0.5566  0.2488  0.1958
Cl  0.5834  0.0214  0.5398
Cl  0.6805  0.3370  0.3453
Cl  0.6958  0.7488  0.0566
Cl  0.7411  0.5497  0.3974
Cl  0.7488  0.0566  0.6958
Cl  0.8370  0.1805  0.8453
Cl  0.8453  0.8370  0.1805
Cl  0.8974  0.0497  0.2411

Main lines, by angle (10 to 90 degrees two-theta):
| 2θ (°) | Rel. int. |
| --- | --- |
| 10.59 | 100 |
| 17.65 | 40 |
| 17.81 | 15 |
| 21.26 | 28 |
| 23.52 | 24 |
| 24.10 | 18 |
| 26.52 | 21 |
| 31.01 | 12 |
| 33.60 | 15 |
| 46.16 | 12 |

# 2
This entry pairs a crystal structure of Tb7Ho3Mg with its calculated PXRD pattern. Radiation: copper Kα. Structure: a structure optimized by DFT (PBE).
Peak positions follow from Bragg's law for the DFT cell and can differ from measured ones.

Atomic structure:
Lattice parameters (Å, degrees): 6.9818 6.9818 8.5373 90.00 90.00 120.00
Positions (direct):
Tb  0.0000  0.0000  0.0000
Tb  0.1638  0.3276  0.6686
Tb  0.1638  0.8362  0.6686
Tb  0.5003  0.0005  0.9982
Tb  0.5003  0.4997  0.9982
Tb  0.6724  0.8362  0.6686
Tb  0.9995  0.4997  0.9982
Ho  0.3303  0.1652  0.3315
Ho  0.8348  0.1652  0.3315
Ho  0.8348  0.6697  0.3315
Mg  0.6667  0.3333  0.6688

Main lines, by angle (10 to 90 degrees two-theta):
| 2θ (°) | Rel. int. |
| --- | --- |
| 17.98 | 12 |
| 25.53 | 9 |
| 31.40 | 100 |
| 36.42 | 51 |
| 40.89 | 6 |
| 52.45 | 36 |
| 62.42 | 42 |
| 65.51 | 9 |
| 85.82 | 13 |
| 88.65 | 17 |

# 3
This entry pairs a crystal structure of HfTi3Nb3 with its calculated PXRD pattern. Radiation: copper Kα. Structure: a structure optimized by DFT (PBE).
Peak positions follow from Bragg's law for the DFT cell and can differ from measured ones.

Atomic structure:
Lattice parameters (Å, degrees): 5.8144 7.1532 7.2197 118.26 96.43 98.27
Positions (direct):
Hf  0.1704  0.1414  0.4224
Hf  0.8296  0.8586  0.5776
Ti  0.2485  0.9871  0.9738
Ti  0.3305  0.8336  0.5503
Ti  0.4840  0.5723  0.7223
Ti  0.5160  0.4277  0.2777
Ti  0.6695  0.1664  0.4497
Ti  0.7515  0.0129  0.0262
Nb  0.0203  0.4389  0.2866
Nb  0.1175  0.2972  0.8740
Nb  0.4000  0.7256  0.1418
Nb  0.6000  0.2744  0.8582
Nb  0.8825  0.7028  0.1260
Nb  0.9797  0.5611  0.7134

Main lines, by angle (10 to 90 degrees two-theta):
| 2θ (°) | Rel. int. |
| --- | --- |
| 37.91 | 37 |
| 38.05 | 35 |
| 38.42 | 100 |
| 38.89 | 32 |
| 54.42 | 11 |
| 55.95 | 11 |
| 69.00 | 11 |
| 69.71 | 11 |
| 69.90 | 11 |
| 70.11 | 11 |

# 4
This entry pairs a crystal structure of NaTbIn4 with its calculated PXRD pattern. Radiation: copper Kα. Structure: a structure optimized by DFT (PBE).
Peak positions follow from Bragg's law for the DFT cell and can differ from measured ones.

Atomic structure:
Lattice parameters (Å, degrees): 6.0858 6.0858 6.0858 60.00 60.00 60.00
Positions (direct):
Na  0.0000  0.0000  0.0000
Tb  0.7500  0.7500  0.7500
In  0.3752  0.3752  0.3752
In  0.3752  0.3752  0.8745
In  0.3752  0.8745  0.3752
In  0.8745  0.3752  0.3752

Main lines, by angle (10 to 90 degrees two-theta):
| 2θ (°) | Rel. int. |
| --- | --- |
| 17.85 | 25 |
| 20.64 | 11 |
| 29.35 | 18 |
| 34.56 | 100 |
| 36.15 | 50 |
| 55.48 | 33 |
| 60.89 | 28 |
| 71.94 | 11 |
| 72.91 | 18 |
| 86.95 | 21 |

# 5
This entry pairs a crystal structure of Cd3Si with its calculated PXRD pattern. Radiation: copper Kα. Structure: a structure optimized by DFT (PBE).
Peak positions follow from Bragg's law for the DFT cell and can differ from measured ones.

Atomic structure:
Lattice parameters (Å, degrees): 6.3456 6.3456 4.9066 90.00 90.00 120.00
Positions (direct):
Cd  0.1698  0.3395  0.2500
Cd  0.1698  0.8302  0.2500
Cd  0.3395  0.1698  0.7500
Cd  0.6605  0.8302  0.2500
Cd  0.8302  0.1698  0.7500
Cd  0.8302  0.6605  0.7500
Si  0.3333  0.6667  0.7500
Si  0.6667  0.3333  0.2500

Main lines, by angle (10 to 90 degrees two-theta):
| 2θ (°) | Rel. int. |
| --- | --- |
| 24.32 | 18 |
| 28.12 | 8 |
| 32.59 | 25 |
| 36.63 | 24 |
| 37.52 | 100 |
| 49.82 | 16 |
| 58.15 | 19 |
| 66.53 | 17 |
| 70.72 | 19 |
| 71.28 | 14 |

# 6
This entry pairs a crystal structure of Li2UInS4 with its calculated PXRD pattern. Radiation: copper Kα. Structure: a structure optimized by DFT (PBE).
Peak positions follow from Bragg's law for the DFT cell and can differ from measured ones.

Atomic structure:
Lattice parameters (Å, degrees): 6.7967 6.7967 6.7967 132.97 132.97 68.71
Positions (direct):
Li  0.0000  0.0000  0.0000
Li  0.7500  0.2500  0.5000
U  0.2500  0.7500  0.5000
In  0.5000  0.5000  0.0000
S  0.0064  0.5064  0.5000
S  0.2430  0.2430  0.0000
S  0.4936  0.9936  0.5000
S  0.7570  0.7570  0.0000

Main lines, by angle (10 to 90 degrees two-theta):
| 2θ (°) | Rel. int. |
| --- | --- |
| 18.17 | 100 |
| 28.18 | 27 |
| 29.00 | 32 |
| 31.90 | 25 |
| 33.03 | 45 |
| 37.95 | 33 |
| 44.52 | 20 |
| 46.58 | 33 |
| 47.41 | 16 |
| 58.28 | 17 |

# 7
This entry pairs a crystal structure of Nd2Ho12Tm with its calculated PXRD pattern. Radiation: copper Kα. Structure: a structure optimized by DFT (PBE).
Peak positions follow from Bragg's law for the DFT cell and can differ from measured ones.

Atomic structure:
Lattice parameters (Å, degrees): 6.6091 6.6091 24.3368 92.21 92.21 115.32
Positions (direct):
Nd  0.0673  0.0673  0.2715
Nd  0.4324  0.4324  0.7285
Nd  0.5676  0.5676  0.2715
Nd  0.9327  0.9327  0.7285
Ho  0.0490  0.5499  0.1995
Ho  0.0824  0.5824  0.3307
Ho  0.1383  0.6385  0.5548
Ho  0.1429  0.1429  0.5717
Ho  0.2165  0.2165  0.8657
Ho  0.2319  0.7319  0.9269
Ho  0.2681  0.7681  0.0731
Ho  0.2836  0.2836  0.1350
Ho  0.3573  0.3573  0.4281
Ho  0.3615  0.8617  0.4452
Ho  0.4176  0.9176  0.6693
Ho  0.4501  0.9510  0.8005
Ho  0.5499  0.0490  0.1995
Ho  0.5824  0.0824  0.3307
Ho  0.6385  0.1383  0.5548
Ho  0.6427  0.6427  0.5719
Ho  0.7164  0.7164  0.8650
Ho  0.7319  0.2319  0.9269
Ho  0.7681  0.2681  0.0731
Ho  0.7835  0.7835  0.1343
Ho  0.8571  0.8571  0.4283
Ho  0.8617  0.3615  0.4452
Ho  0.9176  0.4176  0.6693
Ho  0.9510  0.4501  0.8005
Tm  0.2501  0.2501  0.0003
Tm  0.7499  0.7499  0.9997

Main lines, by angle (10 to 90 degrees two-theta):
| 2θ (°) | Rel. int. |
| --- | --- |
| 30.37 | 100 |
| 31.33 | 49 |
| 32.06 | 70 |
| 32.45 | 35 |
| 32.64 | 60 |
| 33.62 | 39 |
| 46.26 | 26 |
| 51.71 | 20 |
| 60.06 | 21 |
| 62.15 | 21 |

# 8
This entry pairs a crystal structure of Pr3SmHo6 with its calculated PXRD pattern. Radiation: copper Kα. Structure: a structure optimized by DFT (PBE).
Peak positions follow from Bragg's law for the DFT cell and can differ from measured ones.

Atomic structure:
Lattice parameters (Å, degrees): 6.6720 6.6720 9.7504 111.57 111.57 59.22
Positions (direct):
Pr  0.0000  0.0000  0.0000
Pr  0.0705  0.0705  0.6992
Pr  0.9295  0.9295  0.3008
Sm  0.5000  0.5000  0.5000
Ho  0.0682  0.5605  0.6877
Ho  0.3639  0.3639  0.0791
Ho  0.4395  0.9318  0.3123
Ho  0.5605  0.0682  0.6877
Ho  0.6361  0.6361  0.9209
Ho  0.9318  0.4395  0.3123

Main lines, by angle (10 to 90 degrees two-theta):
| 2θ (°) | Rel. int. |
| --- | --- |
| 28.42 | 44 |
| 30.35 | 26 |
| 30.98 | 43 |
| 31.13 | 38 |
| 31.36 | 100 |
| 31.48 | 27 |
| 32.05 | 47 |
| 33.25 | 28 |
| 33.93 | 26 |
| 55.08 | 32 |

# 9
This entry pairs a crystal structure of BAsC2 with its calculated PXRD pattern. Radiation: copper Kα. Structure: a structure optimized by DFT (PBE).
Peak positions follow from Bragg's law for the DFT cell and can differ from measured ones.

Atomic structure:
Lattice parameters (Å, degrees): 2.9665 4.8667 4.8667 41.76 90.00 90.00
Positions (direct):
B  0.0000  0.0000  0.0000
As  0.0000  0.6369  0.6369
C  0.5000  0.7677  0.7677
C  0.5000  0.9169  0.9169

Main lines, by angle (10 to 90 degrees two-theta):
| 2θ (°) | Rel. int. |
| --- | --- |
| 19.52 | 70 |
| 27.52 | 100 |
| 30.12 | 24 |
| 36.15 | 56 |
| 39.48 | 37 |
| 41.25 | 47 |
| 50.44 | 40 |
| 65.65 | 18 |
| 65.99 | 20 |
| 69.70 | 20 |

# 10
This entry pairs a crystal structure of NdGeRuF with its calculated PXRD pattern. Radiation: copper Kα. Structure: a structure optimized by DFT (PBE).
Peak positions follow from Bragg's law for the DFT cell and can differ from measured ones.

Atomic structure:
Lattice parameters (Å, degrees): 4.2473 4.2473 7.8762 90.00 90.00 90.00
Positions (direct):
Nd  0.2500  0.2500  0.1865
Nd  0.7500  0.7500  0.8135
Ge  0.2500  0.2500  0.6569
Ge  0.7500  0.7500  0.3431
Ru  0.2500  0.7500  0.5000
Ru  0.7500  0.2500  0.5000
F  0.2500  0.7500  0.0000
F  0.7500  0.2500  0.0000

Main lines, by angle (10 to 90 degrees two-theta):
| 2θ (°) | Rel. int. |
| --- | --- |
| 11.23 | 35 |
| 23.80 | 25 |
| 30.97 | 79 |
| 31.89 | 23 |
| 37.67 | 100 |
| 42.57 | 65 |
| 51.13 | 26 |
| 53.57 | 34 |
| 68.66 | 21 |
| 74.67 | 25 |

# 11
This entry pairs a crystal structure of AcNdRh2 with its calculated PXRD pattern. Radiation: copper Kα. Structure: a structure optimized by DFT (PBE).
Peak positions follow from Bragg's law for the DFT cell and can differ from measured ones.

Atomic structure:
Lattice parameters (Å, degrees): 4.0260 4.3079 6.0115 90.00 109.62 90.00
Positions (direct):
Ac  0.0000  0.0000  0.0000
Nd  0.2775  0.5000  0.5564
Rh  0.5564  0.5000  0.1132
Rh  0.7264  0.0000  0.4555

Main lines, by angle (10 to 90 degrees two-theta):
| 2θ (°) | Rel. int. |
| --- | --- |
| 25.99 | 16 |
| 31.42 | 100 |
| 31.60 | 34 |
| 32.51 | 29 |
| 38.03 | 19 |
| 38.81 | 58 |
| 41.94 | 25 |
| 45.04 | 21 |
| 53.45 | 15 |
| 74.53 | 17 |

# 12
This entry pairs a crystal structure of SrLa2Rh with its calculated PXRD pattern. Radiation: copper Kα. Structure: a structure optimized by DFT (PBE).
Peak positions follow from Bragg's law for the DFT cell and can differ from measured ones.

Atomic structure:
Lattice parameters (Å, degrees): 10.3015 10.3015 10.3015 23.65 23.65 23.65
Positions (direct):
Sr  0.0000  0.0000  0.0000
La  0.5492  0.5492  0.5492
La  0.7809  0.7809  0.7809
Rh  0.1647  0.1647  0.1647

Main lines, by angle (10 to 90 degrees two-theta):
| 2θ (°) | Rel. int. |
| --- | --- |
| 26.72 | 15 |
| 27.13 | 35 |
| 28.58 | 100 |
| 34.24 | 42 |
| 42.84 | 47 |
| 46.50 | 32 |
| 51.21 | 15 |
| 52.31 | 18 |
| 69.83 | 15 |
| 72.17 | 19 |